[1]
This entry pairs a crystal structure of VCoP2O8 with its calculated PXRD pattern. Radiation: Cu Kα, 1.54184 Å. Structure: a DFT-relaxed cell (GGA+U, Alexandria).
Lines closer than 0.1° are merged.

Largest 6 diffraction maxima, in order of rising 2θ, 15 to 90 degrees two-theta:
two_theta  Rel. int.  hkl
17.88  96.7  0 0 2
20.37  75.7  1 0 1
25.36  80.0  1 1 1
30.11  100.0  0 2 0
35.93  72.1  1 1 -3
36.30  57.2  1 1 3

Atomic structure:
```
data_VCoP2O8
_symmetry_space_group_name_H-M 'P 1 21/m 1'
_symmetry_Int_Tables_number 11
_cell_length_a 4.8862
_cell_length_b 5.9366
_cell_length_c 9.9233
_cell_angle_alpha 90.00
_cell_angle_beta 90.75
_cell_angle_gamma 90.00
loop_
_symmetry_equiv_pos_as_xyz
'x,y,z'
'-x,-y,-z'
'-x,y+1/2,-z'
'x,-y+1/2,z'
loop_
_atom_site_label
_atom_site_type_symbol
_atom_site_fract_x
_atom_site_fract_y
_atom_site_fract_z
V1 V 0.0254 0.2500 0.2245
Co1 Co 0.4565 0.2500 0.7306
P1 P 0.0817 0.7500 0.0954
P2 P 0.3928 0.7500 0.6002
O1 O 0.1529 0.7500 0.9393
O2 O 0.2247 0.2500 0.8930
O3 O 0.2287 0.5428 0.1618
O4 O 0.2369 0.5507 0.6732
O5 O 0.2991 0.2500 0.3591
O6 O 0.3606 0.7500 0.4499
```



[2]
This entry pairs a crystal structure of V3OF11 with its calculated PXRD pattern. Radiation: Cu Kα, 1.54184 Å. Structure: a DFT-relaxed cell (GGA+U, Alexandria).
Lines closer than 0.1° are merged.

Largest 6 diffraction maxima, in order of rising 2θ, 15 to 90 degrees two-theta:
two_theta  Rel. int.  hkl
18.90  57.1  0 1 -1
19.61  28.0  1 0 -1
22.72  100.0  1 0 1
23.89  89.7  -1 1 1
28.07  38.8  1 0 -2
32.08  28.2  0 2 -1

Atomic structure:
```
data_V3OF11
_symmetry_space_group_name_H-M 'P 1'
_symmetry_Int_Tables_number 1
_cell_length_a 5.2556
_cell_length_b 5.9635
_cell_length_c 7.2567
_cell_angle_alpha 92.23
_cell_angle_beta 98.44
_cell_angle_gamma 96.58
loop_
_symmetry_equiv_pos_as_xyz
'x,y,z'
loop_
_atom_site_label
_atom_site_type_symbol
_atom_site_fract_x
_atom_site_fract_y
_atom_site_fract_z
V1 V 0.0000 0.0000 0.0000
V2 V 0.1892 0.3511 0.7234
V3 V 0.5631 0.1885 0.3424
O1 O 0.2955 0.1788 0.1897
F1 F 0.0832 0.6069 0.6459
F2 F 0.1191 0.7611 0.0979
F3 F 0.2280 0.0300 0.8165
F4 F 0.4449 0.3428 0.5422
F5 F 0.4615 0.4409 0.8928
F6 F 0.5080 0.9298 0.4490
F7 F 0.7312 0.8993 0.8327
F8 F 0.7404 0.4449 0.2954
F9 F 0.7591 0.0313 0.1821
F10 F 0.9385 0.1880 0.5422
F11 F 0.9672 0.3143 0.9167
```